Entry 1:
Structure and simulated X-ray powder pattern of Tb3Nd4Ho2 (the PBE geometry in Alexandria; a wavelength of 1.5418 Å).

Structural model:
```
data_Tb3Nd4Ho2
_cell_length_a 9.8479
_cell_length_b 9.8479
_cell_length_c 7.0906
_cell_angle_alpha 90.00
_cell_angle_beta 90.00
_cell_angle_gamma 119.94
_symmetry_space_group_name_H-M 'P 1'
_symmetry_Int_Tables_number 1
loop_
_symmetry_equiv_pos_as_xyz
'x,y,z'
loop_
_atom_site_label
_atom_site_fract_x
_atom_site_fract_y
_atom_site_fract_z
Tb1 0.0000 0.0000 0.2500
Tb2 0.0000 0.0000 0.7500
Tb3 0.3291 0.6709 0.2500
Tb4 0.3291 0.6709 0.7500
Tb5 0.6709 0.3291 0.2500
Tb6 0.6709 0.3291 0.7500
Nd1 0.0188 0.6751 0.0000
Nd2 0.3218 0.3470 0.0000
Nd3 0.3249 0.9812 0.5000
Nd4 0.3470 0.3218 0.5000
Nd5 0.6530 0.6782 0.5000
Nd6 0.6751 0.0188 0.5000
Nd7 0.6782 0.6530 0.0000
Nd8 0.9812 0.3249 0.0000
Ho1 0.0206 0.3439 0.5000
Ho2 0.3439 0.0206 0.0000
Ho3 0.6561 0.9794 0.0000
Ho4 0.9794 0.6561 0.5000
```

The 10 most intense peaks (5° ≤ 2θ ≤ 70°), by angle:
2θ/deg	Rel. int.
25.12	6.2
31.08	97.2
31.46	100.0
40.67	8.7
44.81	34.1
51.56	8.9
55.77	34.1
56.01	17.4
61.66	29.3
65.66	10.2

---

Entry 2:
Structure and simulated X-ray powder pattern of Mg3Al9FeSi5 (the PBE geometry in Alexandria; a wavelength of 1.5418 Å).

Structural model:
```
data_Mg3Al9FeSi5
_cell_length_a 6.6428
_cell_length_b 6.6428
_cell_length_c 7.8303
_cell_angle_alpha 90.00
_cell_angle_beta 90.00
_cell_angle_gamma 120.00
_symmetry_space_group_name_H-M 'P 1'
_symmetry_Int_Tables_number 1
loop_
_symmetry_equiv_pos_as_xyz
'x,y,z'
loop_
_atom_site_label
_atom_site_fract_x
_atom_site_fract_y
_atom_site_fract_z
Mg1 0.0000 0.4163 0.0000
Mg2 0.4163 0.0000 0.0000
Mg3 0.5837 0.5837 0.0000
Al1 0.0000 0.3762 0.5000
Al2 0.0000 0.7507 0.2762
Al3 0.0000 0.7507 0.7238
Al4 0.2493 0.2493 0.2762
Al5 0.2493 0.2493 0.7238
Al6 0.3762 0.0000 0.5000
Al7 0.6238 0.6238 0.5000
Al8 0.7507 0.0000 0.2762
Al9 0.7507 0.0000 0.7238
Fe1 0.0000 0.0000 0.5000
Si1 0.0000 0.0000 0.0000
Si2 0.3333 0.6667 0.2627
Si3 0.3333 0.6667 0.7373
Si4 0.6667 0.3333 0.2627
Si5 0.6667 0.3333 0.7373
```

The 10 most intense peaks (5° ≤ 2θ ≤ 70°), by angle:
2θ/deg	Rel. int.
11.30	25.1
15.40	21.2
19.14	14.2
35.44	83.5
38.85	100.0
41.53	33.4
46.38	30.4
47.41	43.4
47.85	51.2
68.50	25.4

---

Entry 3:
Structure and simulated X-ray powder pattern of LiAl2H4Pb2O4F6 (the PBE geometry in Alexandria; a wavelength of 1.5418 Å).

Structural model:
```
data_LiAl2H4Pb2O4F6
_cell_length_a 5.7823
_cell_length_b 6.1154
_cell_length_c 7.4009
_cell_angle_alpha 66.08
_cell_angle_beta 84.89
_cell_angle_gamma 75.44
_symmetry_space_group_name_H-M 'P 1'
_symmetry_Int_Tables_number 1
loop_
_symmetry_equiv_pos_as_xyz
'x,y,z'
loop_
_atom_site_label
_atom_site_fract_x
_atom_site_fract_y
_atom_site_fract_z
Li1 0.0000 0.0000 0.0000
Al1 0.4817 0.0696 0.9781
Al2 0.7801 0.6607 0.3166
H1 0.4213 0.6406 0.1539
H2 0.5250 0.5733 0.6270
H3 0.7172 0.1362 0.2345
H4 0.7305 0.1632 0.6709
Pb1 0.2486 0.0595 0.4800
Pb2 0.9340 0.6426 0.7907
O1 0.5523 0.7228 0.1225
O2 0.5850 0.7103 0.5258
O3 0.7141 0.0225 0.1734
O4 0.7374 0.0366 0.8061
F1 0.0163 0.6494 0.1234
F2 0.0389 0.6123 0.4632
F3 0.2134 0.0999 0.1362
F4 0.2612 0.0563 0.8186
F5 0.4197 0.4013 0.8618
F6 0.7914 0.3303 0.4124
```

The 10 most intense peaks (5° ≤ 2θ ≤ 70°), by angle:
2θ/deg	Rel. int.
13.09	45.8
16.36	88.9
19.91	75.0
20.75	62.9
24.87	50.0
25.38	100.0
27.19	53.1
27.63	44.7
32.98	43.7
33.09	48.3

---

Entry 4:
Structure and simulated X-ray powder pattern of SrNd3 (the PBE geometry in Alexandria; a wavelength of 1.5418 Å).

Structural model:
```
data_SrNd3
_cell_length_a 5.3446
_cell_length_b 5.3446
_cell_length_c 5.3446
_cell_angle_alpha 90.00
_cell_angle_beta 90.00
_cell_angle_gamma 90.00
_symmetry_space_group_name_H-M 'P 1'
_symmetry_Int_Tables_number 1
loop_
_symmetry_equiv_pos_as_xyz
'x,y,z'
loop_
_atom_site_label
_atom_site_fract_x
_atom_site_fract_y
_atom_site_fract_z
Sr1 0.0000 0.0000 0.0000
Nd1 0.0000 0.5000 0.5000
Nd2 0.5000 0.0000 0.5000
Nd3 0.5000 0.5000 0.0000
```

The 10 most intense peaks (5° ≤ 2θ ≤ 70°), by angle:
2θ/deg	Rel. int.
16.59	3.3
23.54	2.9
28.94	100.0
33.53	50.9
37.63	1.7
41.38	1.3
48.16	36.7
51.28	0.9
57.16	44.0
59.96	12.7

---

Entry 5:
Structure and simulated X-ray powder pattern of CaTl2CuCl6 (the PBE geometry in Alexandria; a wavelength of 1.5418 Å).

Structural model:
```
data_CaTl2CuCl6
_cell_length_a 5.2571
_cell_length_b 5.2571
_cell_length_c 10.0527
_cell_angle_alpha 90.00
_cell_angle_beta 90.00
_cell_angle_gamma 90.00
_symmetry_space_group_name_H-M 'P 1'
_symmetry_Int_Tables_number 1
loop_
_symmetry_equiv_pos_as_xyz
'x,y,z'
loop_
_atom_site_label
_atom_site_fract_x
_atom_site_fract_y
_atom_site_fract_z
Ca1 0.0000 0.0000 0.0000
Tl1 0.5000 0.5000 0.2794
Tl2 0.5000 0.5000 0.7206
Cu1 0.0000 0.0000 0.5000
Cl1 0.0000 0.0000 0.2759
Cl2 0.0000 0.0000 0.7241
Cl3 0.0000 0.5000 0.0000
Cl4 0.0000 0.5000 0.5000
Cl5 0.5000 0.0000 0.0000
Cl6 0.5000 0.0000 0.5000
```

The 10 most intense peaks (5° ≤ 2θ ≤ 70°), by angle:
2θ/deg	Rel. int.
16.86	28.6
23.94	58.9
24.50	100.0
29.90	80.6
34.11	66.6
35.73	20.4
42.45	48.6
49.01	22.9
50.23	29.5
58.48	22.7

---

Entry 6:
Structure and simulated X-ray powder pattern of La2P2Pb5 (the PBE geometry in Alexandria; a wavelength of 1.5418 Å).

Structural model:
```
data_La2P2Pb5
_cell_length_a 10.9047
_cell_length_b 12.1014
_cell_length_c 4.3460
_cell_angle_alpha 90.00
_cell_angle_beta 90.00
_cell_angle_gamma 90.00
_symmetry_space_group_name_H-M 'P 1'
_symmetry_Int_Tables_number 1
loop_
_symmetry_equiv_pos_as_xyz
'x,y,z'
loop_
_atom_site_label
_atom_site_fract_x
_atom_site_fract_y
_atom_site_fract_z
La1 0.2157 0.2040 0.0000
La2 0.2843 0.7040 0.0000
La3 0.7157 0.2960 0.0000
La4 0.7843 0.7960 0.0000
P1 0.1821 0.5820 0.5000
P2 0.3179 0.0820 0.5000
P3 0.6821 0.9180 0.5000
P4 0.8179 0.4180 0.5000
Pb1 0.0000 0.5000 0.0000
Pb2 0.0229 0.7544 0.5000
Pb3 0.1199 0.9326 0.0000
Pb4 0.3801 0.4326 0.0000
Pb5 0.4771 0.2544 0.5000
Pb6 0.5000 0.0000 0.0000
Pb7 0.5229 0.7456 0.5000
Pb8 0.6199 0.5674 0.0000
Pb9 0.8801 0.0674 0.0000
Pb10 0.9771 0.2456 0.5000
```

The 10 most intense peaks (5° ≤ 2θ ≤ 70°), by angle:
2θ/deg	Rel. int.
16.26	15.5
20.43	15.5
25.23	41.7
25.59	19.0
30.16	100.0
32.97	33.9
34.51	28.3
37.14	27.1
41.56	27.6
60.99	16.3

---

Entry 7:
Structure and simulated X-ray powder pattern of HoBi12O20 (the PBE geometry in Alexandria; a wavelength of 1.5418 Å).

Structural model:
```
data_HoBi12O20
_cell_length_a 8.9343
_cell_length_b 8.9343
_cell_length_c 8.9343
_cell_angle_alpha 109.47
_cell_angle_beta 109.47
_cell_angle_gamma 109.47
_symmetry_space_group_name_H-M 'P 1'
_symmetry_Int_Tables_number 1
loop_
_symmetry_equiv_pos_as_xyz
'x,y,z'
loop_
_atom_site_label
_atom_site_fract_x
_atom_site_fract_y
_atom_site_fract_z
Ho1 0.0000 0.0000 0.0000
Bi1 0.1431 0.8296 0.3218
Bi2 0.1704 0.3135 0.4921
Bi3 0.1786 0.6865 0.8569
Bi4 0.3135 0.4921 0.1704
Bi5 0.3218 0.1431 0.8296
Bi6 0.4921 0.1704 0.3135
Bi7 0.5079 0.8214 0.6782
Bi8 0.6782 0.5079 0.8214
Bi9 0.6865 0.8569 0.1786
Bi10 0.8214 0.6782 0.5079
Bi11 0.8296 0.3218 0.1431
Bi12 0.8569 0.1786 0.6865
O1 0.0000 0.0000 0.3375
O2 0.0000 0.0000 0.7554
O3 0.0000 0.3375 0.0000
O4 0.0000 0.7554 0.0000
O5 0.1138 0.3549 0.7339
O6 0.2411 0.8862 0.6200
O7 0.2446 0.2446 0.2446
O8 0.2661 0.6211 0.3800
O9 0.3375 0.0000 0.0000
O10 0.3549 0.7339 0.1138
O11 0.3789 0.6451 0.7589
O12 0.3800 0.2661 0.6211
O13 0.6200 0.2411 0.8862
O14 0.6211 0.3800 0.2661
O15 0.6451 0.7589 0.3789
O16 0.6625 0.6625 0.6625
O17 0.7339 0.1138 0.3549
O18 0.7554 0.0000 0.0000
O19 0.7589 0.3789 0.6451
O20 0.8862 0.6200 0.2411
```

The 10 most intense peaks (5° ≤ 2θ ≤ 70°), by angle:
2θ/deg	Rel. int.
24.40	16.5
27.34	100.0
30.01	23.8
32.47	69.6
42.95	12.7
44.80	16.1
51.66	43.4
53.28	20.7
54.86	28.7
60.91	21.9

---

Entry 8:
Structure and simulated X-ray powder pattern of Na2GaBr5 (the PBE geometry in Alexandria; a wavelength of 1.5418 Å).

Structural model:
```
data_Na2GaBr5
_cell_length_a 11.9105
_cell_length_b 12.5186
_cell_length_c 8.5954
_cell_angle_alpha 90.00
_cell_angle_beta 90.00
_cell_angle_gamma 90.00
_symmetry_space_group_name_H-M 'P 1'
_symmetry_Int_Tables_number 1
loop_
_symmetry_equiv_pos_as_xyz
'x,y,z'
loop_
_atom_site_label
_atom_site_fract_x
_atom_site_fract_y
_atom_site_fract_z
Na1 0.0000 0.0000 0.2190
Na2 0.0000 0.0000 0.7810
Na3 0.1191 0.3329 0.0000
Na4 0.3809 0.8329 0.5000
Na5 0.5000 0.5000 0.2810
Na6 0.5000 0.5000 0.7190
Na7 0.6191 0.1671 0.5000
Na8 0.8809 0.6671 0.0000
Ga1 0.2481 0.2333 0.5000
Ga2 0.2519 0.7333 0.0000
Ga3 0.7481 0.2667 0.0000
Ga4 0.7519 0.7667 0.5000
Br1 0.0658 0.1565 0.5000
Br2 0.1187 0.5904 0.0000
Br3 0.1202 0.1168 0.0000
Br4 0.2237 0.8420 0.2219
Br5 0.2237 0.8420 0.7781
Br6 0.2763 0.3420 0.2781
Br7 0.2763 0.3420 0.7219
Br8 0.3798 0.6168 0.5000
Br9 0.3813 0.0904 0.5000
Br10 0.4342 0.6565 0.0000
Br11 0.5658 0.3435 0.0000
Br12 0.6187 0.9096 0.5000
Br13 0.6202 0.3832 0.5000
Br14 0.7237 0.6580 0.2781
Br15 0.7237 0.6580 0.7219
Br16 0.7763 0.1580 0.2219
Br17 0.7763 0.1580 0.7781
Br18 0.8798 0.8832 0.0000
Br19 0.8813 0.4096 0.0000
Br20 0.9342 0.8435 0.5000
```

The 10 most intense peaks (5° ≤ 2θ ≤ 70°), by angle:
2θ/deg	Rel. int.
10.25	24.9
14.55	54.5
14.88	22.8
20.62	39.6
26.24	100.0
26.58	74.4
36.72	18.9
38.67	25.7
42.05	21.1
47.14	19.3

---

Entry 9:
Structure and simulated X-ray powder pattern of Cd2InOs (the PBE geometry in Alexandria; a wavelength of 1.5418 Å).

Structural model:
```
data_Cd2InOs
_cell_length_a 6.7243
_cell_length_b 6.7243
_cell_length_c 6.7243
_cell_angle_alpha 90.00
_cell_angle_beta 90.00
_cell_angle_gamma 90.00
_symmetry_space_group_name_H-M 'P 1'
_symmetry_Int_Tables_number 1
loop_
_symmetry_equiv_pos_as_xyz
'x,y,z'
loop_
_atom_site_label
_atom_site_fract_x
_atom_site_fract_y
_atom_site_fract_z
Cd1 0.0000 0.0000 0.0000
Cd2 0.0000 0.5000 0.5000
Cd3 0.2500 0.2500 0.2500
Cd4 0.2500 0.7500 0.7500
Cd5 0.5000 0.0000 0.5000
Cd6 0.5000 0.5000 0.0000
Cd7 0.7500 0.2500 0.7500
Cd8 0.7500 0.7500 0.2500
In1 0.2500 0.2500 0.7500
In2 0.2500 0.7500 0.2500
In3 0.7500 0.2500 0.2500
In4 0.7500 0.7500 0.7500
Os1 0.0000 0.0000 0.5000
Os2 0.0000 0.5000 0.0000
Os3 0.5000 0.0000 0.0000
Os4 0.5000 0.5000 0.5000
```

The 9 most intense peaks (5° ≤ 2θ ≤ 70°), by angle:
2θ/deg	Rel. int.
22.91	4.1
26.51	2.1
37.84	100.0
44.70	2.4
46.80	0.7
54.59	17.0
59.96	1.1
61.69	0.9
68.34	34.0

---

Entry 10:
Structure and simulated X-ray powder pattern of Tb3Al2Tc3C (the PBE geometry in Alexandria; a wavelength of 1.5418 Å).

Structural model:
```
data_Tb3Al2Tc3C
_cell_length_a 7.3690
_cell_length_b 7.3690
_cell_length_c 3.4509
_cell_angle_alpha 90.00
_cell_angle_beta 90.00
_cell_angle_gamma 120.00
_symmetry_space_group_name_H-M 'P 1'
_symmetry_Int_Tables_number 1
loop_
_symmetry_equiv_pos_as_xyz
'x,y,z'
loop_
_atom_site_label
_atom_site_fract_x
_atom_site_fract_y
_atom_site_fract_z
Tb1 0.0000 0.6434 0.0000
Tb2 0.3566 0.3566 0.0000
Tb3 0.6434 0.0000 0.0000
Al1 0.3333 0.6667 0.5000
Al2 0.6667 0.3333 0.5000
Tc1 0.0000 0.2245 0.5000
Tc2 0.2245 0.0000 0.5000
Tc3 0.7755 0.7755 0.5000
C1 0.0000 0.0000 0.0000
```

The 10 most intense peaks (5° ≤ 2θ ≤ 70°), by angle:
2θ/deg	Rel. int.
24.15	39.0
35.65	100.0
37.28	28.5
38.42	10.0
42.50	22.1
45.90	11.7
49.48	17.1
50.39	15.7
53.08	10.1
66.64	10.1